Starting from a structure optimized by DFT (GGA-PBE), the powder diffraction line list of K2AlAgCl6 was computed for Cu Ka.

Main lines, by angle (2θ from 10° to 90°):
d [Å], 2theta, intensity
6.077, 14.58, 100
4.522, 19.63, 35
3.509, 25.39, 26
2.772, 32.30, 93
2.260, 39.89, 70
1.754, 52.14, 25

Atomic structure:
a b c (Å): 7.0170 7.0170 6.7680
angles (deg): 90.00 90.00 120.00
Sites, in units of the cell vectors:
K1 0.3333 0.6667 0.1665
K2 0.6667 0.3333 0.8335
Al1 0.0000 0.0000 0.0000
Ag1 0.0000 0.0000 0.5000
Cl1 0.1574 0.3148 0.7970
Cl2 0.1574 0.8426 0.7970
Cl3 0.3148 0.1574 0.2030
Cl4 0.6852 0.8426 0.7970
Cl5 0.8426 0.1574 0.2030
Cl6 0.8426 0.6852 0.2030

Starting from a structure optimized by DFT (GGA-PBE), the powder diffraction line list of Nd7Al2Ge2 was computed for Cu Ka.

Main lines, by angle (2θ from 10° to 90°):
d [Å], 2theta, intensity
3.573, 24.92, 30
3.302, 27.00, 100
3.208, 27.81, 47
2.798, 31.98, 61
2.492, 36.04, 44
2.455, 36.61, 87

Atomic structure:
a b c (Å): 6.9316 6.9316 7.3390
angles (deg): 90.00 90.00 107.68
Sites, in units of the cell vectors:
Nd1 0.0000 0.0000 0.0000
Nd2 0.0000 0.5000 0.2815
Nd3 0.0000 0.5000 0.7185
Nd4 0.5000 0.0000 0.2815
Nd5 0.5000 0.0000 0.7185
Nd6 0.5000 0.5000 0.2597
Nd7 0.5000 0.5000 0.7403
Al1 0.1625 0.1625 0.5000
Al2 0.8375 0.8375 0.5000
Ge1 0.2842 0.7158 0.0000
Ge2 0.7158 0.2842 0.0000

Starting from a structure optimized by DFT (GGA-PBE), the powder diffraction line list of Si6NiMo9 was computed for Cu Ka.

Main lines, by angle (2θ from 10° to 90°):
d [Å], 2theta, intensity
3.238, 27.55, 36
2.342, 38.43, 84
2.146, 42.11, 57
2.105, 42.97, 100
1.995, 45.47, 54
1.342, 70.09, 42

Atomic structure:
a b c (Å): 7.2204 7.2204 7.2204
angles (deg): 96.70 96.70 140.05
Sites, in units of the cell vectors:
Si1 0.0000 0.5000 0.5000
Si2 0.0676 0.0676 0.6787
Si3 0.3889 0.3889 0.3213
Si4 0.5000 0.0000 0.5000
Si5 0.6111 0.9324 0.0000
Si6 0.9324 0.6111 0.0000
Ni1 0.0000 0.0000 0.0000
Mo1 0.0245 0.8267 0.3532
Mo2 0.1733 0.5265 0.1978
Mo3 0.3287 0.9755 0.8022
Mo4 0.4735 0.6713 0.6468
Mo5 0.5000 0.5000 0.0000
Mo6 0.5265 0.1733 0.1978
Mo7 0.6713 0.4735 0.6468
Mo8 0.8267 0.0245 0.3532
Mo9 0.9755 0.3287 0.8022

Q: Which formula does entry 2 have?
A: Nd7Al2Ge2